Calculated powder diffraction line list of Na7Au2O2 for CuKα, from a cell relaxed with GGA-PBE.
No peak broadening, texture or thermal motion is included.

Peak list (10 most intense, 2θ from 5° to 70°, sorted by position)
d = 7.732 Å, 2θ 11.44, rel. 39; d = 7.474 Å, 2θ 11.84, rel. 59; d = 4.518 Å, 2θ 19.65, rel. 35; d = 4.363 Å, 2θ 20.35, rel. 100; d = 3.866 Å, 2θ 23.00, rel. 54; d = 3.359 Å, 2θ 26.54, rel. 41; d = 3.303 Å, 2θ 26.99, rel. 40; d = 2.838 Å, 2θ 31.52, rel. 40; d = 2.577 Å, 2θ 34.81, rel. 46; d = 2.468 Å, 2θ 36.40, rel. 35

Atomic structure:
Unit cell a=8.8934 b=8.8934 c=3.5841 alpha=100.90 beta=100.90 gamma=114.36
Positions (direct):
Na (0.0000, 0.0000, 0.0000)
Na (0.0657, 0.3649, 0.7123)
Na (0.3356, 0.3356, 0.3131)
Na (0.3649, 0.0657, 0.7123)
Na (0.6351, 0.9343, 0.2877)
Na (0.6644, 0.6644, 0.6869)
Na (0.9343, 0.6351, 0.2877)
Au (0.3084, 0.6916, 0.5000)
Au (0.6916, 0.3084, 0.5000)
O (0.1896, 0.1896, 0.6766)
O (0.8104, 0.8104, 0.3234)

=====

Calculated powder diffraction line list of Na7AuO2 for CuKα, from a cell relaxed with GGA-PBE.
No peak broadening, texture or thermal motion is included.

Peak list (10 most intense, 2θ from 5° to 70°, sorted by position)
d = 6.446 Å, 2θ 13.74, rel. 100; d = 3.798 Å, 2θ 23.42, rel. 31; d = 3.721 Å, 2θ 23.91, rel. 79; d = 3.649 Å, 2θ 24.39, rel. 34; d = 3.581 Å, 2θ 24.86, rel. 43; d = 2.918 Å, 2θ 30.64, rel. 38; d = 2.816 Å, 2θ 31.78, rel. 75; d = 2.376 Å, 2θ 37.86, rel. 29; d = 2.178 Å, 2θ 41.46, rel. 38; d = 2.149 Å, 2θ 42.05, rel. 40

Atomic structure:
Unit cell a=7.1787 b=7.1787 c=4.5569 alpha=90.00 beta=90.00 gamma=116.11
Positions (direct):
Na (0.0000, 0.0000, 0.0000)
Na (0.1690, 0.4564, 0.0000)
Na (0.1964, 0.8036, 0.5000)
Na (0.4564, 0.1690, 0.0000)
Na (0.5436, 0.8310, 0.0000)
Na (0.8036, 0.1964, 0.5000)
Na (0.8310, 0.5436, 0.0000)
Au (0.5000, 0.5000, 0.5000)
O (0.1942, 0.8058, 0.0000)
O (0.8058, 0.1942, 0.0000)

=====

Calculated powder diffraction line list of NaP2Au2O7 for CuKα, from a cell relaxed with GGA-PBE.
No peak broadening, texture or thermal motion is included.

Peak list (10 most intense, 2θ from 5° to 70°, sorted by position)
d = 4.370 Å, 2θ 20.32, rel. 88; d = 3.608 Å, 2θ 24.68, rel. 57; d = 3.581 Å, 2θ 24.86, rel. 100; d = 2.758 Å, 2θ 32.46, rel. 73; d = 2.354 Å, 2θ 38.23, rel. 29; d = 2.333 Å, 2θ 38.60, rel. 28; d = 2.191 Å, 2θ 41.20, rel. 50; d = 2.185 Å, 2θ 41.32, rel. 37; d = 1.713 Å, 2θ 53.50, rel. 30; d = 1.510 Å, 2θ 61.42, rel. 20

Atomic structure:
Unit cell a=7.8869 b=7.8869 c=7.8869 alpha=40.94 beta=40.94 gamma=40.94
Positions (direct):
Na (0.0000, 0.0000, 0.0000)
P (0.4264, 0.4264, 0.4264)
P (0.5736, 0.5736, 0.5736)
Au (0.2551, 0.2551, 0.2551)
Au (0.7449, 0.7449, 0.7449)
O (0.1607, 0.3661, 0.6895)
O (0.3105, 0.6339, 0.8393)
O (0.3661, 0.6895, 0.1607)
O (0.5000, 0.5000, 0.5000)
O (0.6339, 0.8393, 0.3105)
O (0.6895, 0.1607, 0.3661)
O (0.8393, 0.3105, 0.6339)

=====

Calculated powder diffraction line list of Na3Pd3AuO8 for CuKα, from a cell relaxed with GGA-PBE.
No peak broadening, texture or thermal motion is included.

Peak list (10 most intense, 2θ from 5° to 70°, sorted by position)
d = 5.314 Å, 2θ 16.68, rel. 100; d = 3.119 Å, 2θ 28.62, rel. 20; d = 2.695 Å, 2θ 33.25, rel. 15; d = 2.686 Å, 2θ 33.36, rel. 28; d = 2.655 Å, 2θ 33.76, rel. 73; d = 2.169 Å, 2θ 41.65, rel. 48; d = 1.696 Å, 2θ 54.06, rel. 21; d = 1.681 Å, 2θ 54.59, rel. 10; d = 1.678 Å, 2θ 54.68, rel. 12; d = 1.544 Å, 2θ 59.92, rel. 14

Atomic structure:
Unit cell a=6.8673 b=6.8673 c=6.1730 alpha=115.91 beta=115.91 gamma=52.75
Positions (direct):
Na (0.0000, 0.0000, 0.0000)
Na (0.0000, 0.5000, 0.5000)
Na (0.5000, 0.0000, 0.5000)
Pd (0.0000, 0.5000, 0.0000)
Pd (0.5000, 0.0000, 0.0000)
Pd (0.5000, 0.5000, 0.5000)
Au (0.0000, 0.0000, 0.5000)
O (0.1892, 0.6875, 0.2469)
O (0.2173, 0.2173, 0.1833)
O (0.2718, 0.2718, 0.8052)
O (0.3125, 0.8108, 0.7531)
O (0.6875, 0.1892, 0.2469)
O (0.7282, 0.7282, 0.1948)
O (0.7827, 0.7827, 0.8167)
O (0.8108, 0.3125, 0.7531)